Record 1
Simulated X-ray diffraction stick pattern
Compound: TiNb3Al2C2
Radiation: CuKα
Structure: the GGA-PBE geometry in the Materials Project
No peak broadening, texture or thermal motion is included.

Most intense lines, 2θ = 10–80°, in order of rising 2θ:
- hkl 0 0 2, 6.930 Å, rel. 360
- hkl 1 0 0, 2.700 Å, rel. 214
- hkl 0 1 1, 2.651 Å, rel. 168
- hkl 1 0 3, 2.331 Å, rel. 1000
- hkl 0 0 6, 2.310 Å, rel. 188
- hkl 0 1 6, 1.755 Å, rel. 165
- hkl 1 1 0, 1.559 Å, rel. 199
- hkl 1 0 9, 1.338 Å, rel. 150
- hkl 0 2 3, 1.296 Å, rel. 144
- hkl 1 1 6, 1.292 Å, rel. 169

Cell and atoms:
```
data_TiNb3Al2C2
_chemical_formula_sum 'Ti1 Nb3 Al2 C2'
_cell_length_a 3.1181
_cell_length_b 3.1181
_cell_length_c 13.8607
_cell_angle_alpha 90.00
_cell_angle_beta 90.00
_cell_angle_gamma 120.00
_symmetry_space_group_name_H-M 'P 3 m 1'
_symmetry_Int_Tables_number 156
_symmetry_space_group_name_Hall 'P 3 -2"'
loop_
_atom_site_label
_atom_site_fract_x
_atom_site_fract_y
_atom_site_fract_z
Ti1 0.0000 0.0000 0.0000
Nb1 0.0000 0.0000 0.6748
Nb2 0.6667 0.3333 0.1731
Nb3 0.6667 0.3333 0.4957
Al1 0.0000 0.0000 0.3349
Al2 0.6667 0.3333 0.8368
C1 0.3333 0.6667 0.0809
C2 0.3333 0.6667 0.5853
```



Record 2
Simulated X-ray diffraction stick pattern
Compound: TiNbAlC
Radiation: CuKα
Structure: the GGA-PBE geometry in the Materials Project
No peak broadening, texture or thermal motion is included.

Most intense lines, 2θ = 10–80°, in order of rising 2θ:
- hkl 0 0 2, 6.917 Å, rel. 312
- hkl 1 0 0, 2.687 Å, rel. 197
- hkl 0 1 1, 2.638 Å, rel. 141
- hkl 1 0 3, 2.322 Å, rel. 1000
- hkl 0 0 6, 2.306 Å, rel. 186
- hkl 0 1 6, 1.750 Å, rel. 167
- hkl 1 1 0, 1.552 Å, rel. 199
- hkl 1 0 9, 1.334 Å, rel. 147
- hkl 0 2 3, 1.290 Å, rel. 140
- hkl 1 1 6, 1.287 Å, rel. 163

Cell and atoms:
```
data_TiNbAlC
_chemical_formula_sum 'Ti2 Nb2 Al2 C2'
_cell_length_a 3.1033
_cell_length_b 3.1033
_cell_length_c 13.8335
_cell_angle_alpha 90.00
_cell_angle_beta 90.00
_cell_angle_gamma 120.00
_symmetry_space_group_name_H-M 'P -3 m 1'
_symmetry_Int_Tables_number 164
_symmetry_space_group_name_Hall '-P 3 2"'
loop_
_atom_site_label
_atom_site_fract_x
_atom_site_fract_y
_atom_site_fract_z
Ti1 0.3333 0.6667 0.0824
Nb1 0.3333 0.6667 0.4100
Al1 0.3333 0.6667 0.7544
C1 0.0000 0.0000 0.0000
C2 0.0000 0.0000 0.5000
```



Record 3
Simulated X-ray diffraction stick pattern
Compound: AlNi3C
Radiation: CuKα
Structure: the GGA-PBE geometry in the Materials Project
No peak broadening, texture or thermal motion is included.

Most intense lines, 2θ = 10–80°, in order of rising 2θ:
- hkl 1 0 0, 3.761 Å, rel. 189
- hkl 1 1 0, 2.660 Å, rel. 46
- hkl 1 1 1, 2.171 Å, rel. 1000
- hkl 2 0 0, 1.881 Å, rel. 560
- hkl 2 1 0, 1.682 Å, rel. 61
- hkl 2 1 1, 1.535 Å, rel. 17
- hkl 2 2 0, 1.330 Å, rel. 326
- hkl 3 0 0, 1.254 Å, rel. 25

Cell and atoms:
```
data_AlNi3C
_chemical_formula_sum 'Al1 Ni3 C1'
_cell_length_a 3.7611
_cell_length_b 3.7611
_cell_length_c 3.7611
_cell_angle_alpha 90.00
_cell_angle_beta 90.00
_cell_angle_gamma 90.00
_symmetry_space_group_name_H-M 'P m -3 m'
_symmetry_Int_Tables_number 221
_symmetry_space_group_name_Hall '-P 4 2 3'
loop_
_atom_site_label
_atom_site_fract_x
_atom_site_fract_y
_atom_site_fract_z
Al1 0.0000 0.0000 0.0000
Ni1 0.0000 0.5000 0.5000
C1 0.5000 0.5000 0.5000
```



Record 4
Simulated X-ray diffraction stick pattern
Compound: Al4Ni12C
Radiation: CuKα
Structure: the GGA-PBE geometry in the Materials Project
No peak broadening, texture or thermal motion is included.

Most intense lines, 2θ = 10–80°, in order of rising 2θ:
- hkl 1 0 0, 3.670 Å, rel. 85
- hkl 0 0 4, 3.512 Å, rel. 40
- hkl 1 1 0, 2.595 Å, rel. 26
- hkl 1 0 4, 2.538 Å, rel. 49
- hkl 1 1 4, 2.087 Å, rel. 1000
- hkl 2 0 0, 1.835 Å, rel. 348
- hkl 0 0 8, 1.756 Å, rel. 141
- hkl 2 1 4, 1.487 Å, rel. 17
- hkl 2 2 0, 1.298 Å, rel. 101
- hkl 2 0 8, 1.269 Å, rel. 176

Cell and atoms:
```
data_Al4Ni12C
_chemical_formula_sum 'Al4 Ni12 C1'
_cell_length_a 3.6704
_cell_length_b 3.6704
_cell_length_c 14.0485
_cell_angle_alpha 90.00
_cell_angle_beta 90.00
_cell_angle_gamma 90.00
_symmetry_space_group_name_H-M 'P 4/m m m'
_symmetry_Int_Tables_number 123
_symmetry_space_group_name_Hall '-P 4 2'
loop_
_atom_site_label
_atom_site_fract_x
_atom_site_fract_y
_atom_site_fract_z
Al1 0.0000 0.0000 0.1217
Al2 0.0000 0.0000 0.3616
Ni1 0.0000 0.5000 0.0000
Ni2 0.0000 0.5000 0.2452
Ni3 0.0000 0.5000 0.5000
Ni4 0.5000 0.5000 0.1248
Ni5 0.5000 0.5000 0.3684
C1 0.5000 0.5000 0.5000
```



Record 5
Simulated X-ray diffraction stick pattern
Compound: Al6CO7
Radiation: CuKα
Structure: the GGA-PBE geometry in the Materials Project
No peak broadening, texture or thermal motion is included.

Most intense lines, 2θ = 10–80°, in order of rising 2θ:
- hkl 0 0 18, 3.053 Å, rel. 1000
- hkl 0 1 2, 2.634 Å, rel. 707
- hkl 1 0 4, 2.599 Å, rel. 686
- hkl 0 1 8, 2.469 Å, rel. 609
- hkl 1 0 13, 2.243 Å, rel. 236
- hkl 1 0 16, 2.096 Å, rel. 219
- hkl 0 1 20, 1.906 Å, rel. 499
- hkl 1 1 0, 1.528 Å, rel. 967
- hkl 1 0 34, 1.379 Å, rel. 232
- hkl 1 1 18, 1.366 Å, rel. 445

Cell and atoms:
```
data_Al6CO7
_chemical_formula_sum 'Al18 C3 O21'
_cell_length_a 3.0559
_cell_length_b 3.0559
_cell_length_c 54.9475
_cell_angle_alpha 90.00
_cell_angle_beta 90.00
_cell_angle_gamma 120.00
_symmetry_space_group_name_H-M 'R 3 m'
_symmetry_Int_Tables_number 160
_symmetry_space_group_name_Hall 'R 3 -2"'
loop_
_atom_site_label
_atom_site_fract_x
_atom_site_fract_y
_atom_site_fract_z
Al1 0.0000 0.0000 0.0000
Al2 0.0000 0.0000 0.0988
Al3 0.0000 0.0000 0.3862
Al4 0.0000 0.0000 0.4930
Al5 0.0000 0.0000 0.6136
Al6 0.0000 0.0000 0.8803
C1 0.0000 0.0000 0.0634
O1 0.0000 0.0000 0.1482
O2 0.0000 0.0000 0.3474
O3 0.0000 0.0000 0.4419
O4 0.0000 0.0000 0.5574
O5 0.0000 0.0000 0.6462
O6 0.0000 0.0000 0.8491
O7 0.0000 0.0000 0.9381
```



Record 6
Simulated X-ray diffraction stick pattern
Compound: Al2CO
Radiation: CuKα
Structure: the GGA-PBE geometry in the Materials Project
No peak broadening, texture or thermal motion is included.

Most intense lines, 2θ = 10–80°, in order of rising 2θ:
- hkl 2 0 0, 2.820 Å, rel. 581
- hkl 1 2 0, 2.756 Å, rel. 999
- hkl 0 0 2, 2.560 Å, rel. 959
- hkl 2 0 1, 2.470 Å, rel. 469
- hkl 1 2 1, 2.426 Å, rel. 1000
- hkl 1 2 2, 1.875 Å, rel. 328
- hkl 3 2 0, 1.616 Å, rel. 669
- hkl 0 4 0, 1.579 Å, rel. 306
- hkl 1 2 3, 1.451 Å, rel. 594
- hkl 3 2 2, 1.366 Å, rel. 456

Cell and atoms:
```
data_Al2CO
_chemical_formula_sum 'Al8 C4 O4'
_cell_length_a 5.6406
_cell_length_b 6.3161
_cell_length_c 5.1195
_cell_angle_alpha 90.00
_cell_angle_beta 90.00
_cell_angle_gamma 90.00
_symmetry_space_group_name_H-M 'P n a 21'
_symmetry_Int_Tables_number 33
_symmetry_space_group_name_Hall 'P 2c -2n'
loop_
_atom_site_label
_atom_site_fract_x
_atom_site_fract_y
_atom_site_fract_z
Al1 0.0780 0.1341 0.0000
Al2 0.0806 0.6176 0.0060
C1 0.1004 0.6236 0.3845
O1 0.0794 0.1239 0.3824
```



What is the formula in the fourth record? Al4Ni12C